For Sr7ZrN6, a DFT-relaxed cell (PBE, Alexandria) gives the theoretical X-ray powder pattern in this record (Cu Kα (weighted mean of Kα1 and Kα2)).

Cell lengths 12.393, 6.817, 13.860 Å; angles 90.00, 90.00, 90.00 degrees
Space group Pbcn (No. 60)
Symmetry-distinct sites (fractional):
Sr  0.000  0.015  0.250 [4 per cell]
Sr  0.042  0.224  0.505 [8 per cell]
Sr  0.222  0.381  0.120 [8 per cell]
Sr  0.226  0.357  0.872 [8 per cell]
Zr  0.000  0.485  0.750 [4 per cell]
N  0.096  0.326  0.334 [8 per cell]
N  0.112  0.296  0.682 [8 per cell]
N  0.158  0.106  0.998 [8 per cell]

Peak list (6 most intense, 10° ≤ 2θ ≤ 80°, in order of rising 2θ)
2theta	d [Å]	Rel. int.	h k l
27.90	3.198	28	1 2 1
28.82	3.098	29	4 0 0
29.20	3.059	24	0 2 2
29.54	3.024	100	2 0 4
32.39	2.764	31	4 1 1
32.65	2.743	39	2 2 2